No. 1
Structure and computed X-ray diffraction stick pattern of YInAu (a cell relaxed with GGA-PBE; CuKα).

Main lines, most intense first (5° ≤ 2θ ≤ 70°):
| two_theta | d (Å) | I_rel |
| --- | --- | --- |
| 34.75 | 2.582 | 100 |
| 42.06 | 2.148 | 62 |
| 32.00 | 2.797 | 61 |
| 40.33 | 2.236 | 57 |
| 22.96 | 3.873 | 38 |
| 64.82 | 1.438 | 37 |

Cell and atoms:
Cell: 7.7467 7.7467 4.0434 Å, 90.00 90.00 120.00°
Positions (direct):
Y 0.0000 0.5942 0.0000
Y 0.4058 0.4058 0.0000
Y 0.5942 0.0000 0.0000
In 0.0000 0.2592 0.5000
In 0.2592 0.0000 0.5000
In 0.7408 0.7408 0.5000
Au 0.0000 0.0000 0.0000
Au 0.3333 0.6667 0.5000
Au 0.6667 0.3333 0.5000



No. 2
Structure and computed X-ray diffraction stick pattern of Nb4Rh2C (a cell relaxed with GGA-PBE; CuKα).

Main lines, most intense first (5° ≤ 2θ ≤ 70°):
| two_theta | d (Å) | I_rel |
| --- | --- | --- |
| 39.04 | 2.307 | 100 |
| 66.14 | 1.413 | 31 |
| 36.72 | 2.447 | 31 |
| 42.66 | 2.119 | 24 |
| 45.39 | 1.998 | 10 |
| 67.68 | 1.384 | 8 |

Cell and atoms:
Cell: 8.4773 8.4773 8.4773 Å, 60.00 60.00 60.00°
Positions (direct):
Nb 0.0000 0.0000 0.0000
Nb 0.0000 0.0000 0.5000
Nb 0.0000 0.5000 0.0000
Nb 0.1922 0.1922 0.5578
Nb 0.1922 0.5578 0.1922
Nb 0.1922 0.5578 0.5578
Nb 0.4422 0.4422 0.8078
Nb 0.4422 0.8078 0.4422
Nb 0.4422 0.8078 0.8078
Nb 0.5000 0.0000 0.0000
Nb 0.5578 0.1922 0.1922
Nb 0.5578 0.1922 0.5578
Nb 0.5578 0.5578 0.1922
Nb 0.8078 0.4422 0.4422
Nb 0.8078 0.4422 0.8078
Nb 0.8078 0.8078 0.4422
Rh 0.1374 0.7875 0.7875
Rh 0.2125 0.2125 0.2125
Rh 0.2125 0.2125 0.8626
Rh 0.2125 0.8626 0.2125
Rh 0.7875 0.1374 0.7875
Rh 0.7875 0.7875 0.1374
Rh 0.7875 0.7875 0.7875
Rh 0.8626 0.2125 0.2125
C 0.0000 0.5000 0.5000
C 0.5000 0.0000 0.5000
C 0.5000 0.5000 0.0000
C 0.5000 0.5000 0.5000



No. 3
Structure and computed X-ray diffraction stick pattern of CuHg2N2 (a cell relaxed with GGA-PBE; CuKα).

Main lines, most intense first (5° ≤ 2θ ≤ 70°):
| two_theta | d (Å) | I_rel |
| --- | --- | --- |
| 36.36 | 2.471 | 100 |
| 30.14 | 2.965 | 53 |
| 19.86 | 4.471 | 50 |
| 43.15 | 2.096 | 39 |
| 60.55 | 1.529 | 28 |
| 51.18 | 1.785 | 25 |

Cell and atoms:
Cell: 5.3647 5.3647 5.3647 Å, 133.99 133.99 67.10°
Positions (direct):
Cu 0.0000 0.0000 0.0000
Hg 0.2500 0.7500 0.5000
Hg 0.7500 0.2500 0.5000
N 0.0000 0.5000 0.5000
N 0.5000 0.0000 0.5000



No. 4
Structure and computed X-ray diffraction stick pattern of CeSe2 (a cell relaxed with GGA-PBE; CuKα).

Main lines, most intense first (5° ≤ 2θ ≤ 70°):
| two_theta | d (Å) | I_rel |
| --- | --- | --- |
| 40.25 | 2.241 | 100 |
| 34.27 | 2.617 | 57 |
| 41.39 | 2.181 | 43 |
| 23.07 | 3.856 | 42 |
| 30.49 | 2.932 | 36 |
| 23.87 | 3.727 | 27 |

Cell and atoms:
Cell: 5.6077 5.2336 10.6203 Å, 90.00 90.07 90.00°
Positions (direct):
Ce 0.2413 0.2500 0.3644
Ce 0.2564 0.2500 0.8681
Ce 0.7436 0.7500 0.1319
Ce 0.7587 0.7500 0.6356
Se 0.0150 0.7500 0.8897
Se 0.2365 0.7500 0.2469
Se 0.2580 0.7500 0.5680
Se 0.4928 0.2500 0.1136
Se 0.5072 0.7500 0.8864
Se 0.7420 0.2500 0.4320
Se 0.7635 0.2500 0.7531
Se 0.9850 0.2500 0.1103